1.
# Sr6Li5In
Simulated powder XRD pattern, Cu Kα (weighted mean of Kα1 and Kα2). Input: a cell relaxed with GGA-PBE.

Top 8 peaks for 2θ = 10–90°, most intense first:
2θ 30.2, intensity 100, (1 2 1); 2θ 30.3, intensity 100, (2 0 -1); 2θ 21.3, intensity 53, (1 0 -2); 2θ 53.7, intensity 38, (3 2 0); 2θ 21.2, intensity 27, (1 0 1); 2θ 53.8, intensity 25, (3 2 -3); 2θ 37.3, intensity 25, (2 2 -1); 2θ 43.4, intensity 24, (2 0 -4)

Crystal structure
```
data_Sr6Li5In
_space_group_name_H-M_alt 'P 1'
_space_group_IT_number 1
_space_group_name_Hall 'P 1'
_cell_length_a 5.9055
_cell_length_b 8.3440
_cell_length_c 9.3528
_cell_angle_alpha 90.00
_cell_angle_beta 108.13
_cell_angle_gamma 90.00
loop_
_atom_site_label
_atom_site_fract_x
_atom_site_fract_y
_atom_site_fract_z
_atom_site_occupancy
Sr1 0.0000 0.2410 0.0000 1
Sr2 0.0000 0.7590 0.0000 1
Sr3 0.3379 0.2438 0.6739 1
Sr4 0.3379 0.7562 0.6739 1
Sr5 0.6621 0.2438 0.3261 1
Sr6 0.6621 0.7562 0.3261 1
Li1 0.1639 0.0000 0.3319 1
Li2 0.1665 0.5000 0.3357 1
Li3 0.5000 0.5000 0.0000 1
Li4 0.8335 0.5000 0.6643 1
Li5 0.8361 0.0000 0.6681 1
In1 0.5000 0.0000 0.0000 1
```

---

2.
# SrLi4In
Simulated powder XRD pattern, Cu Kα (weighted mean of Kα1 and Kα2). Input: a cell relaxed with GGA-PBE.

Top 8 peaks for 2θ = 10–90°, most intense first:
2θ 21.2, intensity 100, (1 1 0); 2θ 32.6, intensity 80, (1 1 2); 2θ 21.3, intensity 49, (0 2 0); 2θ 32.4, intensity 40, (1 1 -2); 2θ 24.3, intensity 35, (0 0 2); 2θ 37.3, intensity 31, (1 3 0); 2θ 45.0, intensity 20, (2 0 2); 2θ 54.8, intensity 17, (1 1 4)

Crystal structure
```
data_SrLi4In
_space_group_name_H-M_alt 'P 1'
_space_group_IT_number 1
_space_group_name_Hall 'P 1'
_cell_length_a 4.8512
_cell_length_b 8.3272
_cell_length_c 7.3218
_cell_angle_alpha 90.00
_cell_angle_beta 90.25
_cell_angle_gamma 90.00
loop_
_atom_site_label
_atom_site_fract_x
_atom_site_fract_y
_atom_site_fract_z
_atom_site_occupancy
Sr1 0.0000 0.0000 0.0000 1
Sr2 0.5000 0.5000 0.0000 1
Li1 0.0010 0.3329 0.3267 1
Li2 0.0010 0.6671 0.3267 1
Li3 0.4990 0.1671 0.6733 1
Li4 0.4990 0.8329 0.6733 1
Li5 0.5010 0.1671 0.3267 1
Li6 0.5010 0.8329 0.3267 1
Li7 0.9990 0.3329 0.6733 1
Li8 0.9990 0.6671 0.6733 1
In1 0.0000 0.0000 0.5000 1
In2 0.5000 0.5000 0.5000 1
```

---

3.
# Sr2Li9In6
Simulated powder XRD pattern, Cu Kα (weighted mean of Kα1 and Kα2). Input: a cell relaxed with GGA-PBE.

Top 8 peaks for 2θ = 10–90°, most intense first:
2θ 35.7, intensity 100, (1 1 3); 2θ 18.3, intensity 76, (0 0 3); 2θ 30.4, intensity 71, (1 1 0); 2θ 48.6, intensity 37, (1 1 6); 2θ 57.5, intensity 24, (3 0 3); 2θ 37.1, intensity 16, (0 0 6); 2θ 65.9, intensity 15, (1 1 9); 2θ 54.0, intensity 14, (3 0 0)

Crystal structure
```
data_Sr2Li9In6
_space_group_name_H-M_alt 'P 1'
_space_group_IT_number 1
_space_group_name_Hall 'P 1'
_cell_length_a 5.8856
_cell_length_b 5.8856
_cell_length_c 14.5569
_cell_angle_alpha 90.00
_cell_angle_beta 90.00
_cell_angle_gamma 120.00
loop_
_atom_site_label
_atom_site_fract_x
_atom_site_fract_y
_atom_site_fract_z
_atom_site_occupancy
Sr1 0.0000 0.0000 0.1600 1
Sr2 0.0000 0.0000 0.8400 1
Li1 0.0000 0.5000 0.0000 1
Li2 0.0000 0.5000 0.3351 1
Li3 0.0000 0.5000 0.6649 1
Li4 0.5000 0.0000 0.0000 1
Li5 0.5000 0.0000 0.3351 1
Li6 0.5000 0.0000 0.6649 1
Li7 0.5000 0.5000 0.0000 1
Li8 0.5000 0.5000 0.3351 1
Li9 0.5000 0.5000 0.6649 1
In1 0.3333 0.6667 0.1676 1
In2 0.3333 0.6667 0.5000 1
In3 0.3333 0.6667 0.8324 1
In4 0.6667 0.3333 0.1676 1
In5 0.6667 0.3333 0.5000 1
In6 0.6667 0.3333 0.8324 1
```